Diffraction record for CePmMn2O8. The XRD peak list is simulated, not measured: it uses DFT lattice parameters and positions (GGA+U) and Cu Kα (λ = 1.5418 Å).

Crystal structure
a b c (Å): 5.153 5.153 11.566
angles (deg): 90.00 90.00 90.00
Space group I-4 (No. 82)
Inequivalent atoms, fractional coordinates:
Ce: 0.000 0.000 0.000 [2 per cell]
Pm: 0.000 0.500 0.250 [2 per cell]
Mn: 0.000 0.000 0.500 [2 per cell]
Mn: 0.000 0.500 0.750 [2 per cell]
O: 0.147 0.746 0.828 [8 per cell]
O: 0.157 0.273 0.427 [8 per cell]

Top 6 peaks for 2θ = 10–90°, by angle:
Position (°2θ)  intensity  h k l
18.85  21  1 0 1
28.96  100  1 1 2
34.82  18  2 0 0
47.25  28  2 0 4
53.80  17  1 1 6
58.88  28  1 3 2